(1)
Theoretical powder X-ray diffraction pattern
Compound: Ho5Co19P12
Radiation: Cu Kα, 1.54184 Å
Structure: a structure optimized by DFT (PBE)

Crystal structure
Lattice parameters (Å, degrees): 11.964 11.964 3.658 90.00 90.00 120.00
Atoms (fractional coordinates):
Ho  0.000  0.187  0.000
Ho  0.187  0.000  0.000
Ho  0.333  0.667  0.500
Ho  0.667  0.333  0.500
Ho  0.813  0.813  0.000
Co  0.000  0.000  0.500
Co  0.000  0.553  0.500
Co  0.000  0.715  0.000
Co  0.125  0.484  0.000
Co  0.178  0.800  0.500
Co  0.200  0.378  0.500
Co  0.285  0.285  0.000
Co  0.359  0.875  0.000
Co  0.378  0.200  0.500
Co  0.447  0.447  0.500
Co  0.484  0.125  0.000
Co  0.516  0.641  0.000
Co  0.553  0.000  0.500
Co  0.622  0.822  0.500
Co  0.641  0.516  0.000
Co  0.715  0.000  0.000
Co  0.800  0.178  0.500
Co  0.822  0.622  0.500
Co  0.875  0.359  0.000
P  0.000  0.368  0.500
P  0.000  0.819  0.500
P  0.166  0.686  0.000
P  0.181  0.181  0.500
P  0.314  0.480  0.000
P  0.368  0.000  0.500
P  0.480  0.314  0.000
P  0.520  0.834  0.000
P  0.632  0.632  0.500
P  0.686  0.166  0.000
P  0.819  0.000  0.500
P  0.834  0.520  0.000

Top 8 peaks for 2θ from 10° to 80°, most intense first:
2θ = 38.90°, d 2.315, intensity 100; 2θ = 39.88°, d 2.260, intensity 46; 2θ = 49.86°, d 1.829, intensity 21; 2θ = 53.03°, d 1.727, intensity 20; 2θ = 75.76°, d 1.256, intensity 13; 2θ = 35.76°, d 2.511, intensity 12; 2θ = 29.87°, d 2.991, intensity 12; 2θ = 59.91°, d 1.544, intensity 11


(2)
Theoretical powder X-ray diffraction pattern
Compound: MgZn2
Radiation: Cu Kα, 1.54184 Å
Structure: a structure optimized by DFT (PBE)

Crystal structure
Lattice parameters (Å, degrees): 5.234 5.234 5.234 60.00 60.00 60.00
Atoms (fractional coordinates):
Mg  0.125  0.125  0.125
Mg  0.875  0.875  0.875
Zn  0.000  0.500  0.500
Zn  0.500  0.000  0.500
Zn  0.500  0.500  0.000
Zn  0.500  0.500  0.500

Top 8 peaks for 2θ from 10° to 80°, most intense first:
2θ = 40.41°, d 2.232, intensity 100; 2θ = 42.30°, d 2.137, intensity 74; 2θ = 20.78°, d 4.274, intensity 65; 2θ = 65.53°, d 1.425, intensity 30; 2θ = 72.19°, d 1.309, intensity 29; 2θ = 49.24°, d 1.851, intensity 24; 2θ = 54.00°, d 1.698, intensity 15; 2θ = 76.07°, d 1.251, intensity 10


(3)
Theoretical powder X-ray diffraction pattern
Compound: BiOF
Radiation: Cu Kα, 1.54184 Å
Structure: a structure optimized by DFT (PBE)

Crystal structure
Lattice parameters (Å, degrees): 6.038 5.773 5.818 90.00 98.20 90.00
Atoms (fractional coordinates):
Bi  0.200  0.019  0.289
Bi  0.200  0.481  0.789
Bi  0.800  0.519  0.211
Bi  0.800  0.981  0.711
O  0.031  0.747  0.010
O  0.031  0.753  0.510
O  0.969  0.247  0.490
O  0.969  0.253  0.990
F  0.439  0.184  0.635
F  0.439  0.316  0.135
F  0.561  0.684  0.865
F  0.561  0.816  0.365

Top 8 peaks for 2θ from 10° to 80°, most intense first:
2θ = 25.17°, d 3.538, intensity 100; 2θ = 27.70°, d 3.220, intensity 100; 2θ = 31.02°, d 2.883, intensity 55; 2θ = 35.41°, d 2.535, intensity 34; 2θ = 53.14°, d 1.723, intensity 31; 2θ = 45.54°, d 1.992, intensity 28; 2θ = 43.60°, d 2.076, intensity 27; 2θ = 44.44°, d 2.038, intensity 27


(4)
Theoretical powder X-ray diffraction pattern
Compound: Cu3Sb
Radiation: Cu Kα, 1.54184 Å
Structure: a structure optimized by DFT (PBE)

Crystal structure
Lattice parameters (Å, degrees): 3.151 3.151 7.544 90.00 90.00 120.00
Atoms (fractional coordinates):
Cu  0.000  0.000  0.000
Cu  0.667  0.333  0.219
Cu  0.667  0.333  0.781
Sb  0.000  0.000  0.500

Top 8 peaks for 2θ from 10° to 80°, most intense first:
2θ = 40.81°, d 2.211, intensity 100; 2θ = 32.82°, d 2.729, intensity 35; 2θ = 58.59°, d 1.575, intensity 23; 2θ = 73.86°, d 1.283, intensity 16; 2θ = 79.22°, d 1.209, intensity 14; 2θ = 59.59°, d 1.552, intensity 11; 2θ = 48.25°, d 1.886, intensity 11; 2θ = 34.97°, d 2.566, intensity 9


What did the third record say?
Theoretical powder X-ray diffraction pattern
Compound: BiOF
Radiation: Cu Kα, 1.54184 Å
Structure: a structure optimized by DFT (PBE)

Crystal structure
Lattice parameters (Å, degrees): 6.038 5.773 5.818 90.00 98.20 90.00
Atoms (fractional coordinates):
Bi  0.200  0.019  0.289
Bi  0.200  0.481  0.789
Bi  0.800  0.519  0.211
Bi  0.800  0.981  0.711
O  0.031  0.747  0.010
O  0.031  0.753  0.510
O  0.969  0.247  0.490
O  0.969  0.253  0.990
F  0.439  0.184  0.635
F  0.439  0.316  0.135
F  0.561  0.684  0.865
F  0.561  0.816  0.365

Top 8 peaks for 2θ from 10° to 80°, most intense first:
2θ = 25.17°, d 3.538, intensity 100; 2θ = 27.70°, d 3.220, intensity 100; 2θ = 31.02°, d 2.883, intensity 55; 2θ = 35.41°, d 2.535, intensity 34; 2θ = 53.14°, d 1.723, intensity 31; 2θ = 45.54°, d 1.992, intensity 28; 2θ = 43.60°, d 2.076, intensity 27; 2θ = 44.44°, d 2.038, intensity 27